(1)
Structure and theoretical powder diffractogram of Sr4CaAg2 (a structure optimized by DFT (PBE); λ = 1.5418 Å (Cu Kα)).

The 12 most intense peaks (2θ from 15° to 90°), sorted by position:
2θ 24.6, intensity 44; 2θ 26.6, intensity 46; 2θ 27.4, intensity 100; 2θ 29.7, intensity 52; 2θ 31.1, intensity 53; 2θ 31.5, intensity 86; 2θ 31.9, intensity 66; 2θ 32.9, intensity 94; 2θ 33.8, intensity 53; 2θ 35.6, intensity 50; 2θ 41.2, intensity 53; 2θ 49.6, intensity 43

Structural model:
```
data_Sr4CaAg2
_cell_length_a 8.9461
_cell_length_b 7.2363
_cell_length_c 9.2663
_cell_angle_alpha 90.00
_cell_angle_beta 112.77
_cell_angle_gamma 90.00
_space_group_name_H-M_alt 'P 1'
_space_group_IT_number 1
_space_group_name_Hall 'P 1'
loop_
_atom_site_label
_atom_site_type_symbol
_atom_site_fract_x
_atom_site_fract_y
_atom_site_fract_z
Sr1 Sr 0.1226 0.2500 0.4800
Sr2 Sr 0.1685 0.7500 0.2528
Sr3 Sr 0.2637 0.5021 0.9162
Sr4 Sr 0.2637 0.9979 0.9162
Sr5 Sr 0.7363 0.0021 0.0838
Sr6 Sr 0.7363 0.4979 0.0838
Sr7 Sr 0.8315 0.2500 0.7472
Sr8 Sr 0.8774 0.7500 0.5200
Ca1 Ca 0.4853 0.2500 0.3359
Ca2 Ca 0.5147 0.7500 0.6641
Ag1 Ag 0.0959 0.2500 0.1223
Ag2 Ag 0.4839 0.2500 0.7663
Ag3 Ag 0.5161 0.7500 0.2337
Ag4 Ag 0.9041 0.7500 0.8777
```


(2)
Structure and theoretical powder diffractogram of Y5Ho5Bi6 (a structure optimized by DFT (PBE); λ = 1.5418 Å (Cu Kα)).

The 12 most intense peaks (2θ from 15° to 90°), sorted by position:
2θ 23.9, intensity 35; 2θ 28.0, intensity 21; 2θ 29.8, intensity 25; 2θ 33.0, intensity 97; 2θ 33.9, intensity 70; 2θ 34.2, intensity 100; 2θ 36.1, intensity 21; 2θ 43.5, intensity 30; 2θ 48.9, intensity 22; 2θ 52.7, intensity 29; 2θ 65.7, intensity 26; 2θ 68.7, intensity 18

Structural model:
```
data_Y5Ho5Bi6
_cell_length_a 6.3815
_cell_length_b 9.1688
_cell_length_c 9.1688
_cell_angle_alpha 119.93
_cell_angle_beta 90.00
_cell_angle_gamma 90.00
_space_group_name_H-M_alt 'P 1'
_space_group_IT_number 1
_space_group_name_Hall 'P 1'
loop_
_atom_site_label
_atom_site_type_symbol
_atom_site_fract_x
_atom_site_fract_y
_atom_site_fract_z
Y1 Y 0.0000 0.0000 0.0000
Y2 Y 0.0000 0.5101 0.7542
Y3 Y 0.0000 0.7542 0.5101
Y4 Y 0.5000 0.7544 0.9986
Y5 Y 0.5000 0.9986 0.7544
Ho1 Ho 0.2500 0.0875 0.4211
Ho2 Ho 0.2500 0.4211 0.0875
Ho3 Ho 0.5000 0.5098 0.5098
Ho4 Ho 0.7500 0.0875 0.4211
Ho5 Ho 0.7500 0.4211 0.0875
Bi1 Bi 0.0000 0.1439 0.7544
Bi2 Bi 0.0000 0.3650 0.3650
Bi3 Bi 0.0000 0.7544 0.1439
Bi4 Bi 0.5000 0.1446 0.1446
Bi5 Bi 0.5000 0.3650 0.7538
Bi6 Bi 0.5000 0.7538 0.3650
```


(3)
Structure and theoretical powder diffractogram of KRbNa3 (a structure optimized by DFT (PBE); λ = 1.5418 Å (Cu Kα)).

The 12 most intense peaks (2θ from 15° to 90°), sorted by position:
2θ 19.8, intensity 45; 2θ 22.4, intensity 89; 2θ 24.1, intensity 60; 2θ 24.7, intensity 100; 2θ 26.1, intensity 66; 2θ 27.4, intensity 52; 2θ 28.6, intensity 73; 2θ 30.0, intensity 79; 2θ 40.7, intensity 43; 2θ 42.5, intensity 31; 2θ 43.1, intensity 57; 2θ 45.7, intensity 46

Structural model:
```
data_KRbNa3
_cell_length_a 10.8882
_cell_length_b 10.8882
_cell_length_c 10.8882
_cell_angle_alpha 42.81
_cell_angle_beta 42.81
_cell_angle_gamma 42.81
_space_group_name_H-M_alt 'P 1'
_space_group_IT_number 1
_space_group_name_Hall 'P 1'
loop_
_atom_site_label
_atom_site_type_symbol
_atom_site_fract_x
_atom_site_fract_y
_atom_site_fract_z
K1 K 0.1647 0.1647 0.1647
K2 K 0.8353 0.8353 0.8353
Rb1 Rb 0.4219 0.4219 0.4219
Rb2 Rb 0.5781 0.5781 0.5781
Na1 Na 0.1278 0.1278 0.6086
Na2 Na 0.1278 0.6086 0.1278
Na3 Na 0.3914 0.8722 0.8722
Na4 Na 0.6086 0.1278 0.1278
Na5 Na 0.8722 0.3914 0.8722
Na6 Na 0.8722 0.8722 0.3914
```


(4)
Structure and theoretical powder diffractogram of UNb4O12 (a structure optimized by DFT (PBE); λ = 1.5418 Å (Cu Kα)).

The 12 most intense peaks (2θ from 15° to 90°), sorted by position:
2θ 16.8, intensity 60; 2θ 22.4, intensity 23; 2θ 23.1, intensity 24; 2θ 25.1, intensity 23; 2θ 31.9, intensity 100; 2θ 36.3, intensity 15; 2θ 39.8, intensity 14; 2θ 45.8, intensity 38; 2θ 47.3, intensity 12; 2θ 56.9, intensity 42; 2θ 66.8, intensity 22; 2θ 75.9, intensity 18

Structural model:
```
data_UNb4O12
_cell_length_a 8.8582
_cell_length_b 8.8582
_cell_length_c 8.8582
_cell_angle_alpha 143.11
_cell_angle_beta 143.11
_cell_angle_gamma 53.17
_space_group_name_H-M_alt 'P 1'
_space_group_IT_number 1
_space_group_name_Hall 'P 1'
loop_
_atom_site_label
_atom_site_type_symbol
_atom_site_fract_x
_atom_site_fract_y
_atom_site_fract_z
U1 U 0.0000 0.0000 0.0000
Nb1 Nb 0.1269 0.6269 0.5000
Nb2 Nb 0.3731 0.8731 0.5000
Nb3 Nb 0.6269 0.1269 0.5000
Nb4 Nb 0.8731 0.3731 0.5000
O1 O 0.0000 0.5000 0.5000
O2 O 0.1235 0.1235 0.4682
O3 O 0.1235 0.6554 0.0000
O4 O 0.2500 0.7500 0.5000
O5 O 0.3446 0.3446 0.4682
O6 O 0.3446 0.8765 0.0000
O7 O 0.5000 0.0000 0.5000
O8 O 0.6554 0.1235 0.0000
O9 O 0.6554 0.6554 0.5318
O10 O 0.7500 0.2500 0.5000
O11 O 0.8765 0.3446 0.0000
O12 O 0.8765 0.8765 0.5318
```


(5)
Structure and theoretical powder diffractogram of BAsH2Pb (a structure optimized by DFT (PBE); λ = 1.5418 Å (Cu Kα)).

The 12 most intense peaks (2θ from 15° to 90°), sorted by position:
2θ 20.8, intensity 100; 2θ 21.7, intensity 33; 2θ 30.2, intensity 41; 2θ 30.9, intensity 87; 2θ 37.5, intensity 97; 2θ 42.2, intensity 19; 2θ 44.3, intensity 34; 2θ 49.4, intensity 43; 2θ 53.2, intensity 38; 2θ 62.8, intensity 24; 2θ 77.0, intensity 25; 2θ 88.3, intensity 20

Structural model:
```
data_BAsH2Pb
_cell_length_a 4.0909
_cell_length_b 4.0909
_cell_length_c 4.2803
_cell_angle_alpha 90.00
_cell_angle_beta 90.00
_cell_angle_gamma 90.00
_space_group_name_H-M_alt 'P 1'
_space_group_IT_number 1
_space_group_name_Hall 'P 1'
loop_
_atom_site_label
_atom_site_type_symbol
_atom_site_fract_x
_atom_site_fract_y
_atom_site_fract_z
B1 B 0.0000 0.0000 0.0000
As1 As 0.0000 0.0000 0.5000
H1 H 0.0000 0.5000 0.0000
H2 H 0.5000 0.0000 0.0000
Pb1 Pb 0.5000 0.5000 0.5000
```


(6)
Structure and theoretical powder diffractogram of LiTl2In8 (a structure optimized by DFT (PBE); λ = 1.5418 Å (Cu Kα)).

The 12 most intense peaks (2θ from 15° to 90°), sorted by position:
2θ 28.3, intensity 13; 2θ 30.3, intensity 48; 2θ 31.7, intensity 31; 2θ 33.6, intensity 100; 2θ 39.3, intensity 45; 2θ 51.3, intensity 31; 2θ 56.8, intensity 15; 2θ 59.6, intensity 25; 2θ 65.8, intensity 10; 2θ 66.5, intensity 14; 2θ 67.6, intensity 26; 2θ 87.0, intensity 24

Structural model:
```
data_LiTl2In8
_cell_length_a 4.5824
_cell_length_b 4.5824
_cell_length_c 14.1300
_cell_angle_alpha 90.00
_cell_angle_beta 90.00
_cell_angle_gamma 90.00
_space_group_name_H-M_alt 'P 1'
_space_group_IT_number 1
_space_group_name_Hall 'P 1'
loop_
_atom_site_label
_atom_site_type_symbol
_atom_site_fract_x
_atom_site_fract_y
_atom_site_fract_z
Li1 Li 0.0000 0.0000 0.0000
Tl1 Tl 0.0000 0.0000 0.3119
Tl2 Tl 0.0000 0.0000 0.6881
In1 In 0.0000 0.5000 0.1245
In2 In 0.0000 0.5000 0.5000
In3 In 0.0000 0.5000 0.8755
In4 In 0.5000 0.0000 0.1245
In5 In 0.5000 0.0000 0.5000
In6 In 0.5000 0.0000 0.8755
In7 In 0.5000 0.5000 0.3066
In8 In 0.5000 0.5000 0.6934
```


(7)
Structure and theoretical powder diffractogram of Ti8SbPb2 (a structure optimized by DFT (PBE); λ = 1.5418 Å (Cu Kα)).

The 12 most intense peaks (2θ from 15° to 90°), sorted by position:
2θ 21.0, intensity 30; 2θ 24.8, intensity 53; 2θ 25.3, intensity 27; 2θ 25.9, intensity 19; 2θ 29.3, intensity 20; 2θ 36.5, intensity 52; 2θ 37.0, intensity 68; 2θ 38.9, intensity 100; 2θ 39.0, intensity 95; 2θ 52.9, intensity 34; 2θ 67.9, intensity 19; 2θ 68.0, intensity 18

Structural model:
```
data_Ti8SbPb2
_cell_length_a 8.3904
_cell_length_b 8.3904
_cell_length_c 5.2637
_cell_angle_alpha 94.62
_cell_angle_beta 94.62
_cell_angle_gamma 33.68
_space_group_name_H-M_alt 'P 1'
_space_group_IT_number 1
_space_group_name_Hall 'P 1'
loop_
_atom_site_label
_atom_site_type_symbol
_atom_site_fract_x
_atom_site_fract_y
_atom_site_fract_z
Ti1 Ti 0.0455 0.0455 0.2690
Ti2 Ti 0.2346 0.2346 0.3453
Ti3 Ti 0.3275 0.3275 0.8892
Ti4 Ti 0.4131 0.4131 0.4665
Ti5 Ti 0.5869 0.5869 0.5335
Ti6 Ti 0.6725 0.6725 0.1108
Ti7 Ti 0.7654 0.7654 0.6547
Ti8 Ti 0.9545 0.9545 0.7310
Sb1 Sb 0.5000 0.5000 0.0000
Pb1 Pb 0.1474 0.1474 0.7979
Pb2 Pb 0.8526 0.8526 0.2021
```


(8)
Structure and theoretical powder diffractogram of Ca2InAu3 (a structure optimized by DFT (PBE); λ = 1.5418 Å (Cu Kα)).

The 12 most intense peaks (2θ from 15° to 90°), sorted by position:
2θ 21.7, intensity 70; 2θ 22.7, intensity 80; 2θ 32.3, intensity 100; 2θ 32.5, intensity 34; 2θ 33.2, intensity 30; 2θ 40.7, intensity 38; 2θ 41.3, intensity 23; 2θ 43.0, intensity 98; 2θ 45.1, intensity 25; 2θ 49.1, intensity 22; 2θ 62.4, intensity 21; 2θ 64.1, intensity 17

Structural model:
```
data_Ca2InAu3
_cell_length_a 4.0174
_cell_length_b 4.2079
_cell_length_c 18.2419
_cell_angle_alpha 90.00
_cell_angle_beta 90.00
_cell_angle_gamma 90.00
_space_group_name_H-M_alt 'P 1'
_space_group_IT_number 1
_space_group_name_Hall 'P 1'
loop_
_atom_site_label
_atom_site_type_symbol
_atom_site_fract_x
_atom_site_fract_y
_atom_site_fract_z
Ca1 Ca 0.0000 0.0000 0.0000
Ca2 Ca 0.0000 0.5000 0.2157
Ca3 Ca 0.5000 0.0000 0.7157
Ca4 Ca 0.5000 0.5000 0.5000
In1 In 0.0000 0.0000 0.3955
In2 In 0.5000 0.5000 0.8955
Au1 Au 0.0000 0.0000 0.5478
Au2 Au 0.0000 0.5000 0.6462
Au3 Au 0.0000 0.5000 0.7953
Au4 Au 0.5000 0.0000 0.1462
Au5 Au 0.5000 0.0000 0.2953
Au6 Au 0.5000 0.5000 0.0478
```